Li4PdPtO6: computed PXRD pattern (Cu Kα), based on a PBE-relaxed structure.
No peak broadening, texture or thermal motion is included.

Main lines, low angle first (2θ = 15–90°):
2theta  I (rel.)
18.60  100
19.98  26
20.91  46
23.49  35
27.43  24
35.53  38
37.18  30
43.23  22
43.41  44
47.55  23

Structural model:
```
data_Li4PdPtO6
_chemical_formula_sum 'Li4 Pd1 Pt1 O6'
_cell_length_a 5.136
_cell_length_b 5.136
_cell_length_c 5.075
_cell_angle_alpha 99.85
_cell_angle_beta 99.85
_cell_angle_gamma 119.86
_space_group_name_H-M_alt 'P 1'
_space_group_IT_number 1
loop_
_space_group_symop_operation_xyz
'x,y,z'
loop_
_atom_site_label
_atom_site_fract_x
_atom_site_fract_y
_atom_site_fract_z
Li1 0.000 0.000 0.000
Li2 0.162 0.838 0.500
Li3 0.499 0.501 0.500
Li4 0.839 0.161 0.500
Pd1 0.333 0.667 0.000
Pt1 0.667 0.333 0.000
O1 0.081 0.425 0.238
O2 0.263 0.263 0.759
O3 0.424 0.079 0.238
O4 0.575 0.919 0.762
O5 0.737 0.737 0.241
O6 0.921 0.576 0.762
```